1.
Calculated powder XRD pattern of Pm3Sm3Tm for Cu Kα X-rays, from a cell relaxed with PBE.

Cell and atoms:
```
data_Pm3Sm3Tm
_chemical_formula_sum 'Pm6 Sm6 Tm2'
_cell_length_a 9.6975
_cell_length_b 9.6975
_cell_length_c 5.8062
_cell_angle_alpha 90.00
_cell_angle_beta 90.00
_cell_angle_gamma 120.00
_space_group_name_H-M_alt 'P 63/m'
_space_group_IT_number 176
_space_group_name_Hall '-P 6c'
loop_
_atom_site_label
_atom_site_type_symbol
_atom_site_fract_x
_atom_site_fract_y
_atom_site_fract_z
Pm1 Pm 0.0474 0.2404 0.2500
Sm1 Sm 0.0952 0.4766 0.7500
Tm1 Tm 0.3333 0.6667 0.2500
```

Principal peaks in the range 2θ = 10–90°, by angle:
28.11°, intensity 24, (2 1 0); 30.80°, intensity 25, (0 0 2); 32.14°, intensity 100, (2 1 1); 42.18°, intensity 16, (2 1 2); 49.75°, intensity 20, (1 4 0); 55.62°, intensity 21, (2 1 3); 59.66°, intensity 23, (1 4 2); 60.47°, intensity 16, (4 2 1)

2.
Calculated powder XRD pattern of Pm4Sm15Tm for Cu Kα X-rays, from a cell relaxed with PBE.

Cell and atoms:
```
data_Pm4Sm15Tm
_chemical_formula_sum 'Pm4 Sm15 Tm1'
_cell_length_a 5.1294
_cell_length_b 5.1294
_cell_length_c 25.6212
_cell_angle_alpha 90.00
_cell_angle_beta 90.00
_cell_angle_gamma 90.00
_space_group_name_H-M_alt 'P 4/m m m'
_space_group_IT_number 123
_space_group_name_Hall '-P 4 2'
loop_
_atom_site_label
_atom_site_type_symbol
_atom_site_fract_x
_atom_site_fract_y
_atom_site_fract_z
Pm1 Pm 0.0000 0.0000 0.1004
Pm2 Pm 0.0000 0.0000 0.3012
Sm1 Sm 0.0000 0.5000 0.0000
Sm2 Sm 0.0000 0.5000 0.2007
Sm3 Sm 0.0000 0.5000 0.4016
Sm4 Sm 0.5000 0.5000 0.1003
Sm5 Sm 0.5000 0.5000 0.3015
Sm6 Sm 0.5000 0.5000 0.5000
Tm1 Tm 0.0000 0.0000 0.5000
```

Principal peaks in the range 2θ = 10–90°, by angle:
30.19°, intensity 100, (1 1 5); 35.00°, intensity 51, (2 0 0); 50.33°, intensity 36, (2 2 0); 59.82°, intensity 43, (3 1 5); 62.77°, intensity 12, (2 2 10); 73.94°, intensity 6, (4 0 0); 81.89°, intensity 18, (3 3 5); 84.52°, intensity 11, (4 0 10)

3.
Calculated powder XRD pattern of Pm9Sm2Tm for Cu Kα X-rays, from a cell relaxed with PBE.

Cell and atoms:
```
data_Pm9Sm2Tm
_chemical_formula_sum 'Pm9 Sm2 Tm1'
_cell_length_a 5.1350
_cell_length_b 5.1350
_cell_length_c 15.4021
_cell_angle_alpha 90.00
_cell_angle_beta 90.00
_cell_angle_gamma 90.00
_space_group_name_H-M_alt 'P 4/m m m'
_space_group_IT_number 123
_space_group_name_Hall '-P 4 2'
loop_
_atom_site_label
_atom_site_type_symbol
_atom_site_fract_x
_atom_site_fract_y
_atom_site_fract_z
Pm1 Pm 0.0000 0.0000 0.0000
Pm2 Pm 0.0000 0.0000 0.3323
Pm3 Pm 0.0000 0.5000 0.1649
Pm4 Pm 0.0000 0.5000 0.5000
Sm1 Sm 0.5000 0.5000 0.3321
Tm1 Tm 0.5000 0.5000 0.0000
```

Principal peaks in the range 2θ = 10–90°, by angle:
30.15°, intensity 100, (1 1 3); 34.95°, intensity 51, (2 0 0); 50.26°, intensity 36, (2 2 0); 59.73°, intensity 43, (3 1 3); 62.68°, intensity 12, (2 2 6); 73.82°, intensity 6, (4 0 0); 81.76°, intensity 18, (3 3 3); 84.36°, intensity 16, (4 2 0)